Diffraction record for ThPa3. The powder XRD pattern is computed, not measured: it uses the PBE geometry in the Materials Project and CuKα.

Crystal structure
Cell: 4.7366 4.7366 4.7366 Å, 90.00 90.00 90.00°
Positions (direct):
Th 0.0000 0.0000 0.0000
Pa 0.0000 0.5000 0.5000
Pa 0.5000 0.0000 0.5000
Pa 0.5000 0.5000 0.0000

Largest 5 diffraction maxima, low angle first, 2θ = 5–70°:
d = 2.735 Å, I 100
d = 2.368 Å, I 51
d = 1.675 Å, I 36
d = 1.428 Å, I 43
d = 1.367 Å, I 12

***

Diffraction record for PaTi3. The powder XRD pattern is computed, not measured: it uses the PBE geometry in the Materials Project and CuKα.

Crystal structure
Cell: 4.7403 4.7403 4.7403 Å, 60.00 60.00 60.00°
Positions (direct):
Pa 0.0000 0.0000 0.0000
Ti 0.2500 0.2500 0.2500
Ti 0.5000 0.5000 0.5000
Ti 0.7500 0.7500 0.7500

Largest 9 diffraction maxima, low angle first, 2θ = 5–70°:
d = 3.870 Å, I 55
d = 3.352 Å, I 29
d = 2.370 Å, I 100
d = 2.021 Å, I 31
d = 1.935 Å, I 9
d = 1.676 Å, I 17
d = 1.538 Å, I 13
d = 1.499 Å, I 12
d = 1.368 Å, I 34

***

Diffraction record for Pa3Tl. The powder XRD pattern is computed, not measured: it uses the PBE geometry in the Materials Project and CuKα.

Crystal structure
Cell: 5.7199 5.7199 5.7199 Å, 132.00 132.00 70.23°
Positions (direct):
Pa 0.0000 0.0000 0.0000
Pa 0.2500 0.7500 0.5000
Pa 0.7500 0.2500 0.5000
Tl 0.5000 0.5000 0.0000

Largest 8 diffraction maxima, low angle first, 2θ = 5–70°:
d = 2.691 Å, I 100
d = 2.339 Å, I 17
d = 2.326 Å, I 34
d = 1.650 Å, I 24
d = 1.645 Å, I 12
d = 1.409 Å, I 14
d = 1.404 Å, I 28
d = 1.346 Å, I 12